# PuRu2
Theoretical PXRD pattern, Cu Kα. Input: a cell relaxed with GGA-PBE.
Neutral-atom scattering factors, no anomalous dispersion.

Main lines, low angle first (2θ from 5° to 70°):
| h k l | 2theta | Rel. int. |
| --- | --- | --- |
| 1 1 1 | 20.85 | 9 |
| 2 2 0 | 34.37 | 59 |
| 3 1 1 | 40.55 | 100 |
| 2 2 2 | 42.43 | 17 |
| 3 3 1 | 54.18 | 3 |
| 4 2 2 | 61.57 | 23 |
| 5 1 1 | 65.76 | 32 |

abc: 7.3790 7.3790 7.3790
angles: 90.00 90.00 90.00
Space group Fd-3m (No. 227, origin choice 2)
One atom of each set of equivalent atoms:
Pu  0.1250  0.1250  0.1250 [8 per cell]
Ru  0.0000  0.0000  0.5000 [16 per cell]

---

# PuS2
Theoretical PXRD pattern, Cu Kα. Input: a cell relaxed with GGA-PBE.
Neutral-atom scattering factors, no anomalous dispersion.

Main lines, low angle first (2θ from 5° to 70°):
| h k l | 2theta | Rel. int. |
| --- | --- | --- |
| 0 0 2 | 23.17 | 29 |
| 1 0 1 | 25.50 | 100 |
| 1 1 0 | 32.27 | 36 |
| 1 1 2 | 40.10 | 52 |
| 1 0 3 | 42.16 | 36 |
| 2 0 0 | 46.29 | 22 |
| 2 1 1 | 53.58 | 29 |
| 2 1 3 | 64.38 | 21 |

```
data_PuS2
_chemical_formula_sum 'Pu2 S4'
_cell_length_a 3.9229
_cell_length_b 3.9229
_cell_length_c 7.6779
_cell_angle_alpha 90.00
_cell_angle_beta 90.00
_cell_angle_gamma 90.00
_space_group_name_H-M_alt 'P 4/n m m'
_space_group_IT_number 129
loop_
_space_group_symop_operation_xyz
'x,y,z'
'-x,-y,-z'
'-y+1/2,x,z'
'y+1/2,-x,-z'
'-x+1/2,-y+1/2,z'
'x+1/2,y+1/2,-z'
'y,-x+1/2,z'
'-y,x+1/2,-z'
'x+1/2,-y,-z'
'-x+1/2,y,z'
'-y,-x,-z'
'y,x,z'
'-x,y+1/2,-z'
'x,-y+1/2,z'
'y+1/2,x+1/2,-z'
'-y+1/2,-x+1/2,z'
loop_
_atom_site_label
_atom_site_fract_x
_atom_site_fract_y
_atom_site_fract_z
_atom_site_occupancy
Pu1 0.2500 0.2500 0.2313 1
S1 0.2500 0.2500 0.8611 1
S2 0.2500 0.7500 0.5000 1
```

---

# PuS3
Theoretical PXRD pattern, Cu Kα. Input: a cell relaxed with GGA-PBE.
Neutral-atom scattering factors, no anomalous dispersion.

Main lines, low angle first (2θ from 5° to 70°):
| h k l | 2theta | Rel. int. |
| --- | --- | --- |
| 0 0 2 | 18.50 | 49 |
| 1 0 1 | 24.77 | 100 |
| 1 1 0 | 32.66 | 26 |
| 1 0 3 | 36.43 | 39 |
| 0 0 4 | 37.51 | 24 |
| 1 1 2 | 37.80 | 95 |
| 2 0 0 | 46.87 | 26 |
| 2 1 1 | 53.72 | 27 |

```
data_PuS3
_chemical_formula_sum 'Pu2 S6'
_cell_length_a 3.8771
_cell_length_b 3.8771
_cell_length_c 9.5899
_cell_angle_alpha 90.00
_cell_angle_beta 90.00
_cell_angle_gamma 90.00
_space_group_name_H-M_alt 'I 4/m m m'
_space_group_IT_number 139
_space_group_name_Hall '-I 4 2'
loop_
_atom_site_label
_atom_site_fract_x
_atom_site_fract_y
_atom_site_fract_z
_atom_site_occupancy
Pu1 0.0000 0.0000 0.0000 1
S1 0.0000 0.0000 0.5000 1
S2 0.0000 0.5000 0.2500 1
```

---

# Pu4Sb3
Theoretical PXRD pattern, Cu Kα. Input: a cell relaxed with GGA-PBE.
Neutral-atom scattering factors, no anomalous dispersion.

Main lines, low angle first (2θ from 5° to 70°):
| h k l | 2theta | Rel. int. |
| --- | --- | --- |
| 2 1 1 | 23.43 | 21 |
| 3 1 0 | 30.40 | 100 |
| 3 2 1 | 36.14 | 84 |
| 4 2 2 | 47.92 | 28 |
| 4 3 1 | 50.01 | 28 |
| 6 1 1 | 61.46 | 27 |
| 6 2 0 | 63.24 | 14 |
| 5 4 1 | 64.99 | 18 |

```
data_Pu4Sb3
_chemical_formula_sum 'Pu16 Sb12'
_cell_length_a 9.2995
_cell_length_b 9.2995
_cell_length_c 9.2995
_cell_angle_alpha 90.00
_cell_angle_beta 90.00
_cell_angle_gamma 90.00
_space_group_name_H-M_alt 'I -4 3 d'
_space_group_IT_number 220
_space_group_name_Hall 'I -4bd 2c 3'
loop_
_atom_site_label
_atom_site_fract_x
_atom_site_fract_y
_atom_site_fract_z
_atom_site_occupancy
Pu1 0.0777 0.4223 0.5777 1
Sb1 0.0000 0.2500 0.8750 1
```

---

# Pu2SbTe2
Theoretical PXRD pattern, Cu Kα. Input: a cell relaxed with GGA-PBE.
Neutral-atom scattering factors, no anomalous dispersion.

Main lines, low angle first (2θ from 5° to 70°):
| h k l | 2theta | Rel. int. |
| --- | --- | --- |
| 0 0 2 | 20.23 | 38 |
| 1 0 1 | 23.16 | 69 |
| 1 1 0 | 29.58 | 79 |
| 1 1 1 | 31.32 | 51 |
| 1 1 2 | 36.10 | 100 |
| 1 0 3 | 37.25 | 69 |
| 2 0 0 | 42.32 | 60 |
| 2 1 3 | 57.63 | 40 |

```
data_Pu2SbTe2
_chemical_formula_sum 'Pu2 Sb1 Te2'
_cell_length_a 4.2712
_cell_length_b 4.2712
_cell_length_c 8.7789
_cell_angle_alpha 90.00
_cell_angle_beta 90.00
_cell_angle_gamma 90.00
_space_group_name_H-M_alt 'P -4 m 2'
_space_group_IT_number 115
loop_
_space_group_symop_operation_xyz
'x,y,z'
'y,-x,-z'
'-x,-y,z'
'-y,x,-z'
'-x,y,z'
'-y,-x,-z'
'x,-y,z'
'y,x,-z'
loop_
_atom_site_label
_atom_site_fract_x
_atom_site_fract_y
_atom_site_fract_z
_atom_site_occupancy
Pu1 0.0000 0.5000 0.2217 1
Sb1 0.0000 0.0000 0.5000 1
Te1 0.0000 0.5000 0.8582 1
```

---

# Pu3Sc
Theoretical PXRD pattern, Cu Kα. Input: a cell relaxed with GGA-PBE.
Neutral-atom scattering factors, no anomalous dispersion.

Main lines, low angle first (2θ from 5° to 70°):
| h k l | 2theta | Rel. int. |
| --- | --- | --- |
| 1 0 1 | 21.89 | 19 |
| 1 1 2 | 34.40 | 100 |
| 2 0 0 | 39.36 | 35 |
| 0 0 4 | 41.06 | 16 |
| 2 1 1 | 45.48 | 6 |
| 2 2 0 | 56.88 | 12 |
| 2 0 4 | 58.18 | 23 |
| 3 1 2 | 68.19 | 29 |

```
data_Pu3Sc
_chemical_formula_sum 'Pu6 Sc2'
_cell_length_a 4.5787
_cell_length_b 4.5787
_cell_length_c 8.7928
_cell_angle_alpha 90.00
_cell_angle_beta 90.00
_cell_angle_gamma 90.00
_space_group_name_H-M_alt 'I 4/m m m'
_space_group_IT_number 139
_space_group_name_Hall '-I 4 2'
loop_
_atom_site_label
_atom_site_fract_x
_atom_site_fract_y
_atom_site_fract_z
_atom_site_occupancy
Pu1 0.0000 0.0000 0.0000 1
Pu2 0.0000 0.5000 0.2500 1
Sc1 0.0000 0.0000 0.5000 1
```

---

# Pu3Sc
Theoretical PXRD pattern, Cu Kα. Input: a cell relaxed with GGA-PBE.
Neutral-atom scattering factors, no anomalous dispersion.

Main lines, low angle first (2θ from 5° to 70°):
| h k l | 2theta | Rel. int. |
| --- | --- | --- |
| 1 1 1 | 21.70 | 14 |
| 2 0 0 | 25.11 | 8 |
| 2 2 0 | 35.81 | 100 |
| 3 1 1 | 42.26 | 8 |
| 4 0 0 | 51.55 | 18 |
| 3 3 1 | 56.56 | 4 |
| 4 2 0 | 58.17 | 3 |
| 4 2 2 | 64.35 | 38 |

```
data_Pu3Sc
_chemical_formula_sum 'Pu12 Sc4'
_cell_length_a 7.0921
_cell_length_b 7.0921
_cell_length_c 7.0921
_cell_angle_alpha 90.00
_cell_angle_beta 90.00
_cell_angle_gamma 90.00
_space_group_name_H-M_alt 'F m -3 m'
_space_group_IT_number 225
_space_group_name_Hall '-F 4 2 3'
loop_
_atom_site_label
_atom_site_fract_x
_atom_site_fract_y
_atom_site_fract_z
_atom_site_occupancy
Pu1 0.0000 0.0000 0.0000 1
Pu2 0.2500 0.2500 0.2500 1
Sc1 0.0000 0.0000 0.5000 1
```

---

# Pu3Se4
Theoretical PXRD pattern, Cu Kα. Input: a cell relaxed with GGA-PBE.
Neutral-atom scattering factors, no anomalous dispersion.

Main lines, low angle first (2θ from 5° to 70°):
| h k l | 2theta | Rel. int. |
| --- | --- | --- |
| 2 1 1 | 24.86 | 66 |
| 3 1 0 | 32.27 | 100 |
| 3 2 1 | 38.39 | 63 |
| 4 2 0 | 46.28 | 35 |
| 3 3 2 | 48.68 | 23 |
| 4 3 1 | 53.24 | 26 |
| 6 1 1 | 65.60 | 37 |
| 5 4 1 | 69.43 | 15 |

```
data_Pu3Se4
_chemical_formula_sum 'Pu12 Se16'
_cell_length_a 8.7731
_cell_length_b 8.7731
_cell_length_c 8.7731
_cell_angle_alpha 90.00
_cell_angle_beta 90.00
_cell_angle_gamma 90.00
_space_group_name_H-M_alt 'I -4 3 d'
_space_group_IT_number 220
_space_group_name_Hall 'I -4bd 2c 3'
loop_
_atom_site_label
_atom_site_fract_x
_atom_site_fract_y
_atom_site_fract_z
_atom_site_occupancy
Pu1 0.0000 0.2500 0.8750 1
Se1 0.0731 0.4269 0.5731 1
```

---

# PuSe2
Theoretical PXRD pattern, Cu Kα. Input: a cell relaxed with GGA-PBE.
Neutral-atom scattering factors, no anomalous dispersion.

Main lines, low angle first (2θ from 5° to 70°):
| h k l | 2theta | Rel. int. |
| --- | --- | --- |
| 1 0 1 | 24.26 | 90 |
| 1 1 0 | 30.89 | 48 |
| 0 0 3 | 32.50 | 27 |
| 1 1 1 | 32.78 | 44 |
| 1 1 2 | 37.95 | 100 |
| 1 0 3 | 39.42 | 54 |
| 2 0 0 | 44.24 | 51 |
| 2 1 3 | 60.73 | 31 |

```
data_PuSe2
_chemical_formula_sum 'Pu2 Se4'
_cell_length_a 4.0945
_cell_length_b 4.0945
_cell_length_c 8.2640
_cell_angle_alpha 90.00
_cell_angle_beta 90.00
_cell_angle_gamma 90.00
_space_group_name_H-M_alt 'P 4/n m m'
_space_group_IT_number 129
loop_
_space_group_symop_operation_xyz
'x,y,z'
'-x,-y,-z'
'-y+1/2,x,z'
'y+1/2,-x,-z'
'-x+1/2,-y+1/2,z'
'x+1/2,y+1/2,-z'
'y,-x+1/2,z'
'-y,x+1/2,-z'
'x+1/2,-y,-z'
'-x+1/2,y,z'
'-y,-x,-z'
'y,x,z'
'-x,y+1/2,-z'
'x,-y+1/2,z'
'y+1/2,x+1/2,-z'
'-y+1/2,-x+1/2,z'
loop_
_atom_site_label
_atom_site_fract_x
_atom_site_fract_y
_atom_site_fract_z
_atom_site_occupancy
Pu1 0.2500 0.2500 0.2226 1
Se1 0.2500 0.2500 0.8612 1
Se2 0.2500 0.7500 0.5000 1
```

---

# PuSi2
Theoretical PXRD pattern, Cu Kα. Input: a cell relaxed with GGA-PBE.
Neutral-atom scattering factors, no anomalous dispersion.

Main lines, low angle first (2θ from 5° to 70°):
| h k l | 2theta | Rel. int. |
| --- | --- | --- |
| 0 0 1 | 23.06 | 20 |
| 1 0 0 | 25.29 | 66 |
| 1 0 1 | 34.49 | 100 |
| 1 1 0 | 44.57 | 30 |
| 1 1 1 | 50.77 | 16 |
| 1 0 2 | 54.24 | 18 |
| 2 0 1 | 57.55 | 24 |
| 1 1 2 | 66.88 | 19 |

```
data_PuSi2
_chemical_formula_sum 'Pu1 Si2'
_cell_length_a 4.0659
_cell_length_b 4.0659
_cell_length_c 3.8563
_cell_angle_alpha 90.00
_cell_angle_beta 90.00
_cell_angle_gamma 120.00
_space_group_name_H-M_alt 'P 6/m m m'
_space_group_IT_number 191
_space_group_name_Hall '-P 6 2'
loop_
_atom_site_label
_atom_site_fract_x
_atom_site_fract_y
_atom_site_fract_z
_atom_site_occupancy
Pu1 0.0000 0.0000 0.0000 1
Si1 0.3333 0.6667 0.5000 1
```

---

# PuSi2
Theoretical PXRD pattern, Cu Kα. Input: a cell relaxed with GGA-PBE.
Neutral-atom scattering factors, no anomalous dispersion.

Main lines, low angle first (2θ from 5° to 70°):
| h k l | 2theta | Rel. int. |
| --- | --- | --- |
| 1 0 1 | 23.12 | 62 |
| 0 0 4 | 25.35 | 32 |
| 1 0 3 | 29.36 | 58 |
| 1 1 2 | 34.17 | 100 |
| 1 0 5 | 39.17 | 40 |
| 2 0 0 | 45.34 | 28 |
| 2 1 3 | 54.94 | 21 |
| 2 1 5 | 61.43 | 22 |

```
data_PuSi2
_chemical_formula_sum 'Pu4 Si8'
_cell_length_a 4.0002
_cell_length_b 4.0002
_cell_length_c 14.0554
_cell_angle_alpha 90.00
_cell_angle_beta 90.00
_cell_angle_gamma 90.00
_space_group_name_H-M_alt 'I 41/a m d'
_space_group_IT_number 141
loop_
_space_group_symop_operation_xyz
'x,y,z'
'-x,-y,-z'
'-y+1/4,x+3/4,z+1/4'
'y+1/4,-x+3/4,-z+1/4'
'-x+1/2,-y,z+1/2'
'x+1/2,y,-z+1/2'
'y+1/4,-x+1/4,z+3/4'
'-y+1/4,x+1/4,-z+3/4'
'x,-y,-z'
'-x,y,z'
'-y+1/4,-x+1/4,-z+3/4'
'y+1/4,x+1/4,z+3/4'
'-x+1/2,y,-z+1/2'
'x+1/2,-y,z+1/2'
'y+1/4,x+3/4,-z+1/4'
'-y+1/4,-x+3/4,z+1/4'
'x+1/2,y+1/2,z+1/2'
'-x+1/2,-y+1/2,-z+1/2'
'-y+3/4,x+1/4,z+3/4'
'y+3/4,-x+1/4,-z+3/4'
'-x,-y+1/2,z'
'x,y+1/2,-z'
'y+3/4,-x+3/4,z+1/4'
'-y+3/4,x+3/4,-z+1/4'
'x+1/2,-y+1/2,-z+1/2'
'-x+1/2,y+1/2,z+1/2'
'-y+3/4,-x+3/4,-z+1/4'
'y+3/4,x+3/4,z+1/4'
'-x,y+1/2,-z'
'x,-y+1/2,z'
'y+3/4,x+1/4,-z+3/4'
'-y+3/4,-x+1/4,z+3/4'
loop_
_atom_site_label
_atom_site_fract_x
_atom_site_fract_y
_atom_site_fract_z
_atom_site_occupancy
Pu1 0.0000 0.2500 0.3750 1
Si1 0.0000 0.2500 0.7923 1
```

---

# SmPu3
Theoretical PXRD pattern, Cu Kα. Input: a cell relaxed with GGA-PBE.
Neutral-atom scattering factors, no anomalous dispersion.

Main lines, low angle first (2θ from 5° to 70°):
| h k l | 2theta | Rel. int. |
| --- | --- | --- |
| 1 1 2 | 32.83 | 100 |
| 0 0 4 | 37.59 | 17 |
| 2 0 0 | 38.34 | 33 |
| 2 0 4 | 54.78 | 24 |
| 2 2 0 | 55.34 | 12 |
| 1 1 6 | 64.85 | 15 |
| 3 1 2 | 65.86 | 28 |
| 2 2 4 | 68.83 | 12 |

```
data_SmPu3
_chemical_formula_sum 'Sm2 Pu6'
_cell_length_a 4.6954
_cell_length_b 4.6954
_cell_length_c 9.5708
_cell_angle_alpha 90.00
_cell_angle_beta 90.00
_cell_angle_gamma 90.00
_space_group_name_H-M_alt 'I 4/m m m'
_space_group_IT_number 139
_space_group_name_Hall '-I 4 2'
loop_
_atom_site_label
_atom_site_fract_x
_atom_site_fract_y
_atom_site_fract_z
_atom_site_occupancy
Sm1 0.0000 0.0000 0.0000 1
Pu1 0.0000 0.0000 0.5000 1
Pu2 0.0000 0.5000 0.2500 1
```